(1)
Structure and calculated X-ray diffraction stick pattern of Ca7Tl2N (a structure optimized by DFT (PBE); Cu Kα).

Principal peaks in the range 15° ≤ 2θ ≤ 90°, in order of rising 2θ:
2θ = 16.22°, I = 43
2θ = 23.01°, I = 100
2θ = 28.28°, I = 92
2θ = 32.77°, I = 66
2θ = 36.77°, I = 32
2θ = 40.42°, I = 41
2θ = 47.03°, I = 43
2θ = 52.98°, I = 27
2θ = 55.78°, I = 35
2θ = 63.71°, I = 28

```
Ca7Tl2N
1.0
0.0000 5.4656 5.4656
5.4656 0.0000 5.4656
5.4656 5.4656 0.0000
Ca Tl N
7 2 1
Cartesian
0.0000 0.0000 0.0000 Ca
5.4656 5.4656 3.0786 Ca
5.4656 3.0786 5.4656 Ca
7.8525 5.4656 5.4656 Ca
3.0786 5.4656 5.4656 Ca
5.4656 7.8525 5.4656 Ca
5.4656 5.4656 7.8525 Ca
2.7328 2.7328 2.7328 Tl
8.1984 8.1984 8.1984 Tl
5.4656 5.4656 5.4656 N
```

(2)
Structure and calculated X-ray diffraction stick pattern of Ca4TlN (a structure optimized by DFT (PBE); Cu Kα).

Principal peaks in the range 15° ≤ 2θ ≤ 90°, in order of rising 2θ:
2θ = 19.36°, I = 79
2θ = 20.34°, I = 55
2θ = 20.72°, I = 69
2θ = 21.86°, I = 31
2θ = 27.69°, I = 73
2θ = 29.47°, I = 55
2θ = 31.94°, I = 100
2θ = 32.09°, I = 33
2θ = 33.93°, I = 32
2θ = 35.70°, I = 77

```
Ca4TlN
1.0
8.1933 -3.5029 0.0000
8.1933 3.5029 0.0000
-0.7744 0.0000 6.2170
Ca Tl N
8 2 2
Cartesian
5.7691 1.8478 2.3478 Ca
3.0445 0.0000 0.5895 Ca
8.1933 1.9135 0.0000 Ca
9.8430 1.8478 3.8692 Ca
5.7691 -1.8478 2.3478 Ca
8.1933 -1.9135 0.0000 Ca
12.5676 0.0000 5.6275 Ca
9.8430 -1.8478 3.8692 Ca
4.8992 0.0000 4.9791 Tl
10.7129 0.0000 1.2379 Tl
0.6778 0.0000 5.1677 N
14.9344 0.0000 1.0493 N
```

(3)
Structure and calculated X-ray diffraction stick pattern of Ca8TlN5 (a structure optimized by DFT (PBE); Cu Kα).

Principal peaks in the range 15° ≤ 2θ ≤ 90°, in order of rising 2θ:
2θ = 19.95°, I = 69
2θ = 20.39°, I = 39
2θ = 24.97°, I = 37
2θ = 28.77°, I = 38
2θ = 30.79°, I = 49
2θ = 31.80°, I = 37
2θ = 31.91°, I = 100
2θ = 33.07°, I = 98
2θ = 34.44°, I = 41
2θ = 51.25°, I = 37

```
Ca8TlN5
1.0
9.2022 -1.8219 0.0000
9.2022 1.8219 0.0000
-2.3544 0.0000 8.7106
Ca Tl N
8 1 5
Cartesian
1.1767 0.0000 1.1081 Ca
2.9159 0.0000 7.4564 Ca
4.7001 0.0000 4.5705 Ca
7.2279 0.0000 1.4372 Ca
8.8222 0.0000 7.2734 Ca
11.3499 0.0000 4.1402 Ca
13.1341 0.0000 1.2542 Ca
14.8734 0.0000 7.6025 Ca
-1.1772 0.0000 4.3553 Tl
0.6782 0.0000 8.2590 N
2.9427 0.0000 2.8824 N
9.2022 0.0000 0.0000 N
13.1073 0.0000 5.8282 N
15.3718 0.0000 0.4517 N
```

(4)
Structure and calculated X-ray diffraction stick pattern of Ca3Tl2N (a structure optimized by DFT (PBE); Cu Kα).

Principal peaks in the range 15° ≤ 2θ ≤ 90°, in order of rising 2θ:
2θ = 16.86°, I = 97
2θ = 25.80°, I = 100
2θ = 30.98°, I = 73
2θ = 35.65°, I = 71
2θ = 35.83°, I = 57
2θ = 40.74°, I = 23
2θ = 45.49°, I = 22
2θ = 52.17°, I = 24
2θ = 52.30°, I = 40
2θ = 53.04°, I = 29

```
Ca3Tl2N
1.0
3.4533 1.9938 3.6808
-3.4533 1.9938 3.6808
0.0000 -3.9876 3.6808
Ca Tl N
3 2 1
Cartesian
-1.7267 -0.9969 3.6808 Ca
-1.7267 0.9969 7.3616 Ca
0.0000 1.9938 3.6808 Ca
0.0000 0.0000 1.3708 Tl
0.0000 0.0000 9.6717 Tl
0.0000 0.0000 5.5212 N
```

(5)
Structure and calculated X-ray diffraction stick pattern of Ca10Tl2N3 (a structure optimized by DFT (PBE); Cu Kα).

Principal peaks in the range 15° ≤ 2θ ≤ 90°, in order of rising 2θ:
2θ = 17.59°, I = 49
2θ = 21.77°, I = 26
2θ = 22.14°, I = 54
2θ = 22.25°, I = 35
2θ = 23.32°, I = 25
2θ = 30.17°, I = 32
2θ = 30.39°, I = 54
2θ = 31.37°, I = 100
2θ = 32.94°, I = 23
2θ = 34.22°, I = 84

```
Ca10Tl2N3
1.0
11.4450 -3.6056 0.0000
11.4450 3.6056 0.0000
-3.7476 0.0000 9.3159
Ca Tl N
20 4 6
Cartesian
3.8487 1.8028 4.6580 Ca
-2.0090 0.0000 6.4213 Ca
7.9040 1.9138 0.2830 Ca
7.1219 1.8209 4.3989 Ca
2.1993 0.0000 2.3119 Ca
11.4450 1.9816 0.0000 Ca
2.4647 0.0000 7.0933 Ca
12.0205 1.8209 4.9170 Ca
11.2384 1.9138 9.0329 Ca
9.8244 0.0000 3.0544 Ca
3.8487 -1.8028 4.6580 Ca
9.3180 0.0000 6.2616 Ca
7.9040 -1.9138 0.2830 Ca
7.1219 -1.8209 4.3989 Ca
16.6778 0.0000 2.2227 Ca
11.4450 -1.9816 0.0000 Ca
16.9432 0.0000 7.0041 Ca
12.0205 -1.8209 4.9170 Ca
11.2384 -1.9138 9.0329 Ca
21.1514 0.0000 2.8946 Ca
5.6392 0.0000 1.9228 Tl
5.9525 0.0000 7.1237 Tl
13.1899 0.0000 2.1922 Tl
13.5033 0.0000 7.3932 Tl
-1.9284 0.0000 8.9696 N
2.1471 0.0000 4.7282 N
9.5712 1.7960 4.6580 N
9.5712 -1.7960 4.6580 N
16.9953 0.0000 4.5878 N
21.0709 0.0000 0.3463 N
```

(6)
Structure and calculated X-ray diffraction stick pattern of Ca3ZrU3N8 (a structure optimized by DFT (PBE); Cu Kα).

Principal peaks in the range 15° ≤ 2θ ≤ 90°, in order of rising 2θ:
2θ = 15.55°, I = 100
2θ = 30.51°, I = 54
2θ = 31.39°, I = 27
2θ = 31.86°, I = 75
2θ = 36.82°, I = 81
2θ = 40.19°, I = 23
2θ = 52.74°, I = 27
2θ = 53.35°, I = 28
2θ = 55.93°, I = 25
2θ = 63.23°, I = 24

```
Ca3ZrU3N8
1.0
3.4342 1.9827 5.6990
-3.4342 1.9827 5.6990
0.0000 -3.9655 5.6990
Ca Zr U N
3 1 3 8
Cartesian
-1.7171 -0.9914 5.6990 Ca
-1.7171 0.9914 11.3980 Ca
0.0000 1.9827 5.6990 Ca
0.0000 0.0000 8.5485 Zr
-3.4342 0.0000 8.5485 U
-1.7171 0.9914 2.8495 U
1.7171 0.9914 2.8495 U
-1.6962 -0.9793 9.6569 N
0.0000 0.0000 4.1273 N
0.0000 -1.9586 7.4401 N
-1.6962 0.9793 7.4401 N
1.6962 -0.9793 9.6569 N
0.0000 1.9586 9.6569 N
0.0000 0.0000 12.9697 N
1.6962 0.9793 7.4401 N
```

(7)
Structure and calculated X-ray diffraction stick pattern of Ca5VN5 (a structure optimized by DFT (PBE); Cu Kα).

Principal peaks in the range 15° ≤ 2θ ≤ 90°, in order of rising 2θ:
2θ = 31.45°, I = 31
2θ = 32.06°, I = 28
2θ = 32.24°, I = 39
2θ = 34.30°, I = 100
2θ = 36.71°, I = 35
2θ = 37.24°, I = 31
2θ = 40.75°, I = 21
2θ = 53.96°, I = 19
2θ = 58.83°, I = 17
2θ = 63.78°, I = 14

```
Ca5VN5
1.0
6.0537 0.0000 0.0000
0.0000 16.6572 0.0000
0.0000 0.0000 6.7967
Ca V N
20 4 20
Cartesian
0.0644 3.9440 1.6992 Ca
0.0644 4.3846 5.0975 Ca
1.2445 1.2578 0.0479 Ca
1.2445 1.2578 3.3505 Ca
1.2445 7.0708 3.4462 Ca
1.2445 7.0708 6.7488 Ca
1.9028 9.6864 1.6992 Ca
1.9028 15.2994 5.0975 Ca
2.7660 12.4929 0.0000 Ca
2.7660 12.4929 3.3984 Ca
3.2877 4.1643 0.0000 Ca
3.2877 4.1643 3.3984 Ca
4.1509 1.3578 1.6992 Ca
4.1509 6.9708 5.0975 Ca
4.8092 9.5863 0.0479 Ca
4.8092 9.5863 3.3505 Ca
4.8092 15.3994 3.4462 Ca
4.8092 15.3994 6.7488 Ca
5.9892 12.2726 1.6992 Ca
5.9892 12.7132 5.0975 Ca
1.3071 9.8885 5.0975 V
1.3071 15.0973 1.6992 V
4.7466 1.5599 5.0975 V
4.7466 6.7687 1.6992 V
0.1241 8.5066 5.0975 N
0.1241 16.4792 1.6992 N
0.8614 10.9109 3.6050 N
0.8614 10.9109 6.5901 N
0.8614 14.0748 0.2067 N
0.8614 14.0748 3.1917 N
2.1927 2.9071 1.6992 N
2.1927 5.4214 5.0975 N
3.0115 9.2327 5.0975 N
3.0115 15.7531 1.6992 N
3.0422 0.9041 5.0975 N
3.0422 7.4245 1.6992 N
3.8610 11.2357 1.6992 N
3.8610 13.7500 5.0975 N
5.1923 2.5823 3.6050 N
5.1923 2.5823 6.5901 N
5.1923 5.7462 0.2067 N
5.1923 5.7462 3.1917 N
5.9295 0.1780 5.0975 N
5.9295 8.1506 1.6992 N
```

(8)
Structure and calculated X-ray diffraction stick pattern of Ca7V3N9 (a structure optimized by DFT (PBE); Cu Kα).

Principal peaks in the range 15° ≤ 2θ ≤ 90°, in order of rising 2θ:
2θ = 19.92°, I = 27
2θ = 30.80°, I = 27
2θ = 32.32°, I = 99
2θ = 34.80°, I = 16
2θ = 36.06°, I = 73
2θ = 36.41°, I = 100
2θ = 37.59°, I = 17
2θ = 44.10°, I = 17
2θ = 52.90°, I = 21
2θ = 55.12°, I = 23

```
Ca7V3N9
1.0
6.0784 0.0000 0.0000
0.0000 9.9978 0.0000
-0.2364 0.0000 9.0281
Ca V N
14 6 18
Cartesian
0.3793 0.8388 1.5327 Ca
0.3793 4.1601 1.5327 Ca
0.4959 7.4983 1.8633 Ca
1.3842 5.8043 4.6257 Ca
1.3842 9.1924 4.6257 Ca
2.3681 0.6849 7.5667 Ca
2.3681 4.3140 7.5667 Ca
3.4739 5.6838 1.4614 Ca
3.4739 9.3129 1.4614 Ca
4.4578 0.8054 4.4024 Ca
4.4578 4.1935 4.4024 Ca
5.3460 2.4994 7.1648 Ca
5.4627 5.8376 7.4954 Ca
5.4627 9.1590 7.4954 Ca
1.5740 2.4994 5.1541 V
1.7632 7.4983 8.4504 V
2.6830 2.4994 2.5423 V
3.1589 7.4983 6.4859 V
4.0788 2.4994 0.5777 V
4.2680 7.4983 3.8740 V
0.6062 1.0685 5.9073 N
0.6062 3.9304 5.9073 N
1.1983 7.4983 6.5991 N
1.4015 5.9544 0.1996 N
1.4015 9.0422 0.1996 N
2.1394 2.4994 0.6406 N
2.1191 1.0471 3.4051 N
2.1191 3.9518 3.4051 N
2.7062 7.4983 3.0293 N
3.1358 2.4994 5.9988 N
3.7228 6.0460 5.6230 N
3.7228 8.9507 5.6230 N
3.7025 7.4983 8.3875 N
4.4405 0.9555 8.8285 N
4.4405 4.0433 8.8285 N
4.6437 2.4994 2.4290 N
5.2358 6.0673 3.1208 N
5.2358 8.9293 3.1208 N
```